Starting from a structure optimized by DFT (GGA+U), the PXRD pattern of CaMn2AsO4 was simulated for Cu Ka.
Peak positions follow from Bragg's law for the DFT cell and can differ from measured ones.

Principal peaks in the range 2θ = 5–70°, low angle first:
2θ (°)	Rel. int.
32.13	92
33.95	100
34.38	82
40.43	72
41.11	67
51.25	29
53.79	48
58.18	25
59.03	40
67.22	24

Structural model:
Unit cell a=8.831 b=8.925 c=6.540 alpha=90.00 beta=126.15 gamma=90.00
Space group C2/c (No. 15)
Unique sites:
Ca1 0.250 0.250 0.000 [4 per cell]
Mn1 0.000 0.000 0.000 [4 per cell]
Mn2 0.250 0.250 0.500 [4 per cell]
As1 0.000 0.500 0.000 [4 per cell]
O1 0.020 0.256 0.521 [8 per cell]
O2 0.209 0.010 0.390 [8 per cell]